This entry pairs a crystal structure of Na3TaCo2O6 with its simulated PXRD pattern. Radiation: Cu Kα X-rays. Structure: a PBE+U-relaxed structure.
Kinematic intensities with the Lorentz-polarization factor, no thermal factor.

Peak list (10 most intense, 10 to 80 degrees two-theta, by angle)
2θ = 16.55°, rel. 95
2θ = 20.03°, rel. 26
2θ = 22.25°, rel. 21
2θ = 33.46°, rel. 21
2θ = 34.16°, rel. 36
2θ = 35.54°, rel. 51
2θ = 40.67°, rel. 100
2θ = 52.66°, rel. 16
2θ = 57.49°, rel. 30
2θ = 60.24°, rel. 28

Cell: 5.3207 5.3207 5.6388 Å, 99.01 99.01 119.96°
Element x y z (fractional)
Na 0.0000 0.0000 0.0000
Na 0.3255 0.6745 0.0000
Na 0.6745 0.3255 0.0000
Ta 0.5000 0.5000 0.5000
Co 0.1656 0.8344 0.5000
Co 0.8344 0.1656 0.5000
O 0.1153 0.4310 0.2897
O 0.2555 0.2555 0.7102
O 0.4310 0.1153 0.2897
O 0.5690 0.8847 0.7103
O 0.7445 0.7445 0.2898
O 0.8847 0.5690 0.7103